Starting from a DFT-relaxed cell (GGA-PBE, Alexandria), the XRD peak list of Cd7In3Hg2 was computed for Cu Kα (λ = 1.5418 Å).
Neutral-atom scattering factors, no anomalous dispersion.

Lattice parameters (Å, degrees): 5.159 3.335 17.657 90.00 96.12 90.00
Fractional coordinates of all 12 atoms:
Cd1 0.000 0.000 0.000
Cd2 0.228 0.000 0.844
Cd3 0.260 0.500 0.161
Cd4 0.264 0.500 0.537
Cd5 0.736 0.500 0.463
Cd6 0.740 0.500 0.839
Cd7 0.772 0.000 0.156
In1 0.199 0.000 0.366
In2 0.500 0.500 0.000
In3 0.801 0.000 0.634
Hg1 0.325 0.500 0.703
Hg2 0.675 0.500 0.297

Main lines, by angle (10° ≤ 2θ ≤ 90°):
| 2θ/deg | Rel. int. |
| --- | --- |
| 30.55 | 50 |
| 32.01 | 36 |
| 33.05 | 81 |
| 34.22 | 100 |
| 34.79 | 38 |
| 37.13 | 69 |



Starting from a DFT-relaxed cell (GGA-PBE, Alexandria), the XRD peak list of AcSmPdI was computed for Cu Kα (λ = 1.5418 Å).
Neutral-atom scattering factors, no anomalous dispersion.

Lattice parameters (Å, degrees): 8.729 8.729 8.729 28.72 28.72 28.72
Fractional coordinates of all 4 atoms:
Ac1 0.000 0.000 0.000
Sm1 0.793 0.793 0.793
Pd1 0.401 0.401 0.401
I1 0.223 0.223 0.223

Main lines, by angle (10° ≤ 2θ ≤ 90°):
| 2θ/deg | Rel. int. |
| --- | --- |
| 24.00 | 20 |
| 27.72 | 34 |
| 29.74 | 100 |
| 41.72 | 45 |
| 43.39 | 26 |
| 52.08 | 21 |